1.
The following is a simulated X-ray diffraction stick pattern of B2PbBr8. It was derived from a structure optimized by DFT (PBE), using Cu Kα (weighted mean of Kα1 and Kα2).
Intensities are scaled so that the largest is 100.

Peak list (6 most intense, 10 to 90 degrees two-theta, most intense first)
- 10.31°, I 100
- 27.51°, I 68
- 11.10°, I 66
- 29.99°, I 29
- 29.35°, I 29
- 16.51°, I 26

Atomic structure:
```
data_B2PbBr8
_chemical_formula_sum 'B8 Pb4 Br32'
_symmetry_space_group_name_H-M 'C 1 2/c 1'
_symmetry_Int_Tables_number 15
_cell_length_a 18.6527
_cell_length_b 10.1797
_cell_length_c 10.0572
_cell_angle_alpha 90.00
_cell_angle_beta 121.25
_cell_angle_gamma 90.00
loop_
_symmetry_equiv_pos_as_xyz
'x,y,z'
'-x,-y,-z'
'-x,y,-z+1/2'
'x,-y,z+1/2'
'x+1/2,y+1/2,z'
'-x+1/2,-y+1/2,-z'
'-x+1/2,y+1/2,-z+1/2'
'x+1/2,-y+1/2,z+1/2'
loop_
_atom_site_label
_atom_site_fract_x
_atom_site_fract_y
_atom_site_fract_z
B1 0.0990 0.2424 0.0664
Pb1 0.0000 0.0319 0.2500
Br1 0.0286 0.1910 0.5576
Br2 0.1148 0.4192 0.0087
Br3 0.1374 0.2315 0.2980
Br4 0.1625 0.1036 0.0201
```


2.
The following is a simulated X-ray diffraction stick pattern of BPbS2Br. It was derived from a structure optimized by DFT (PBE), using Cu Kα (weighted mean of Kα1 and Kα2).
Intensities are scaled so that the largest is 100.

Peak list (6 most intense, 10 to 90 degrees two-theta, most intense first)
- 19.08°, I 100
- 27.33°, I 60
- 13.33°, I 23
- 25.04°, I 23
- 27.06°, I 20
- 30.78°, I 20

Atomic structure:
```
data_BPbS2Br
_chemical_formula_sum 'B2 Pb2 S4 Br2'
_symmetry_space_group_name_H-M 'P 1 21/m 1'
_symmetry_Int_Tables_number 11
_cell_length_a 6.7485
_cell_length_b 6.5282
_cell_length_c 6.8003
_cell_angle_alpha 90.00
_cell_angle_beta 102.47
_cell_angle_gamma 90.00
loop_
_symmetry_equiv_pos_as_xyz
'x,y,z'
'-x,-y,-z'
'-x,y+1/2,-z'
'x,-y+1/2,z'
loop_
_atom_site_label
_atom_site_fract_x
_atom_site_fract_y
_atom_site_fract_z
B1 0.1380 0.2500 0.0233
Pb1 0.3140 0.7500 0.8121
S1 0.1175 0.7500 0.1115
S2 0.3415 0.2500 0.8851
Br1 0.2118 0.2500 0.3238
```


3.
The following is a simulated X-ray diffraction stick pattern of ReB3Br. It was derived from a structure optimized by DFT (PBE), using Cu Kα (weighted mean of Kα1 and Kα2).
Intensities are scaled so that the largest is 100.

Peak list (6 most intense, 10 to 90 degrees two-theta, most intense first)
- 29.62°, I 100
- 52.56°, I 41
- 42.39°, I 24
- 20.83°, I 21
- 85.12°, I 21
- 69.73°, I 18

Atomic structure:
```
data_ReB3Br
_chemical_formula_sum 'Re1 B3 Br1'
_symmetry_space_group_name_H-M 'P m -3 m'
_symmetry_Int_Tables_number 221
_symmetry_space_group_name_Hall '-P 4 2 3'
_cell_length_a 4.2649
_cell_length_b 4.2649
_cell_length_c 4.2649
_cell_angle_alpha 90.00
_cell_angle_beta 90.00
_cell_angle_gamma 90.00
loop_
_atom_site_label
_atom_site_fract_x
_atom_site_fract_y
_atom_site_fract_z
Re1 0.0000 0.0000 0.0000
B1 0.0000 0.0000 0.5000
Br1 0.5000 0.5000 0.5000
```


4.
The following is a simulated X-ray diffraction stick pattern of BS5Br. It was derived from a structure optimized by DFT (PBE), using Cu Kα (weighted mean of Kα1 and Kα2).
Intensities are scaled so that the largest is 100.

Peak list (6 most intense, 10 to 90 degrees two-theta, most intense first)
- 17.38°, I 100
- 23.77°, I 87
- 26.99°, I 53
- 32.17°, I 41
- 40.00°, I 30
- 28.34°, I 29

Atomic structure:
```
data_BS5Br
_chemical_formula_sum 'B2 S10 Br2'
_symmetry_space_group_name_H-M 'C 1 2 1'
_symmetry_Int_Tables_number 5
_cell_length_a 4.6074
_cell_length_b 20.4125
_cell_length_c 4.4545
_cell_angle_alpha 90.00
_cell_angle_beta 103.35
_cell_angle_gamma 90.00
loop_
_symmetry_equiv_pos_as_xyz
'x,y,z'
'-x,y,-z'
'x+1/2,y+1/2,z'
'-x+1/2,y+1/2,-z'
loop_
_atom_site_label
_atom_site_fract_x
_atom_site_fract_y
_atom_site_fract_z
B1 0.0000 0.0000 0.0000
S1 0.0000 0.2886 0.0000
S2 0.1292 0.5330 0.8394
S3 0.1594 0.2265 0.7059
Br1 0.0000 0.9481 0.5000
```


5.
The following is a simulated X-ray diffraction stick pattern of BS3Br. It was derived from a structure optimized by DFT (PBE), using Cu Kα (weighted mean of Kα1 and Kα2).
Intensities are scaled so that the largest is 100.

Peak list (6 most intense, 10 to 90 degrees two-theta, most intense first)
- 18.90°, I 100
- 26.37°, I 52
- 23.02°, I 30
- 24.54°, I 28
- 29.95°, I 25
- 35.41°, I 18

Atomic structure:
```
data_BS3Br
_chemical_formula_sum 'B2 S6 Br2'
_symmetry_space_group_name_H-M 'P 1'
_symmetry_Int_Tables_number 1
_cell_length_a 4.3407
_cell_length_b 7.7647
_cell_length_c 9.3911
_cell_angle_alpha 90.04
_cell_angle_beta 90.13
_cell_angle_gamma 95.62
loop_
_symmetry_equiv_pos_as_xyz
'x,y,z'
loop_
_atom_site_label
_atom_site_fract_x
_atom_site_fract_y
_atom_site_fract_z
B1 0.0000 0.0000 0.0000
B2 0.1112 0.6120 0.5003
S1 0.2371 0.8201 0.5584
S2 0.3373 0.1154 0.9129
S3 0.4464 0.5036 0.5761
S4 0.6655 0.1083 0.0758
S5 0.7729 0.4964 0.4131
S6 0.8749 0.7919 0.0580
Br1 0.1492 0.5775 0.9747
Br2 0.9625 0.0345 0.4751
```


6.
The following is a simulated X-ray diffraction stick pattern of ScB2TeBr. It was derived from a structure optimized by DFT (PBE), using Cu Kα (weighted mean of Kα1 and Kα2).
Intensities are scaled so that the largest is 100.

Peak list (6 most intense, 10 to 90 degrees two-theta, most intense first)
- 26.62°, I 100
- 29.12°, I 84
- 45.37°, I 50
- 41.64°, I 40
- 34.02°, I 36
- 50.11°, I 35

Atomic structure:
```
data_ScB2TeBr
_chemical_formula_sum 'Sc1 B2 Te1 Br1'
_symmetry_space_group_name_H-M 'P 4/m m m'
_symmetry_Int_Tables_number 123
_symmetry_space_group_name_Hall '-P 4 2'
_cell_length_a 4.3374
_cell_length_b 4.3374
_cell_length_c 5.2709
_cell_angle_alpha 90.00
_cell_angle_beta 90.00
_cell_angle_gamma 90.00
loop_
_atom_site_label
_atom_site_fract_x
_atom_site_fract_y
_atom_site_fract_z
Sc1 0.0000 0.0000 0.0000
B1 0.0000 0.5000 0.5000
Te1 0.5000 0.5000 0.0000
Br1 0.0000 0.0000 0.5000
```


Please write out number 6 again, unchanged.
The following is a simulated X-ray diffraction stick pattern of ScB2TeBr. It was derived from a structure optimized by DFT (PBE), using Cu Kα (weighted mean of Kα1 and Kα2).
Intensities are scaled so that the largest is 100.

Peak list (6 most intense, 10 to 90 degrees two-theta, most intense first)
- 26.62°, I 100
- 29.12°, I 84
- 45.37°, I 50
- 41.64°, I 40
- 34.02°, I 36
- 50.11°, I 35

Atomic structure:
```
data_ScB2TeBr
_chemical_formula_sum 'Sc1 B2 Te1 Br1'
_symmetry_space_group_name_H-M 'P 4/m m m'
_symmetry_Int_Tables_number 123
_symmetry_space_group_name_Hall '-P 4 2'
_cell_length_a 4.3374
_cell_length_b 4.3374
_cell_length_c 5.2709
_cell_angle_alpha 90.00
_cell_angle_beta 90.00
_cell_angle_gamma 90.00
loop_
_atom_site_label
_atom_site_fract_x
_atom_site_fract_y
_atom_site_fract_z
Sc1 0.0000 0.0000 0.0000
B1 0.0000 0.5000 0.5000
Te1 0.5000 0.5000 0.0000
Br1 0.0000 0.0000 0.5000
```